Record 1
Calculated X-ray powder pattern of Tb9Sc4In11 for copper Kα, from the GGA-PBE geometry in Alexandria.
Peak positions follow from Bragg's law for the DFT cell and can differ from measured ones.

Crystal structure
```
24
Lattice="8.800 -10.381 0.000 8.800 10.381 0.000 0.000 0.000 3.400" Properties=species:S:1:pos:R:3 pbc="T T T"
Tb 0.000 0.000 0.000
Tb 6.772 5.357 0.000
Tb 6.608 1.774 0.000
Tb 10.828 5.357 0.000
Tb 6.608 -1.774 0.000
Tb 10.992 1.774 0.000
Tb 6.772 -5.357 0.000
Tb 10.992 -1.774 0.000
Tb 10.828 -5.357 0.000
Sc 2.610 1.742 0.000
Sc 2.610 -1.742 0.000
Sc 14.990 1.742 0.000
Sc 14.990 -1.742 0.000
In 4.453 3.610 1.700
In 8.800 7.563 1.700
In 4.465 0.000 1.700
In 8.800 3.434 1.700
In 4.453 -3.610 1.700
In 8.800 0.000 1.700
In 13.146 3.610 1.700
In 8.800 -3.434 1.700
In 13.135 0.000 1.700
In 8.800 -7.563 1.700
In 13.146 -3.610 1.700
```

Peak list (6 most intense, 15° ≤ 2θ ≤ 90°, sorted by position)
2θ/deg  intensity
32.93  100
33.31  96
37.06  67
41.03  28
56.47  29
64.65  28

=====

Record 2
Calculated X-ray powder pattern of LiCa2NdTe4 for copper Kα, from the GGA-PBE geometry in Alexandria.
Peak positions follow from Bragg's law for the DFT cell and can differ from measured ones.

Crystal structure
```
8
Lattice="7.715 0.000 0.000 0.000 4.508 0.000 -2.521 0.000 7.327" Properties=species:S:1:pos:R:3 pbc="T T T"
Li 0.000 0.000 0.000
Ca -1.260 2.254 3.663
Ca 2.597 0.000 3.663
Nd 3.857 2.254 0.000
Te -0.011 0.000 5.533
Te 1.280 2.254 1.796
Te 3.914 2.254 5.531
Te 5.205 0.000 1.794
```

Peak list (6 most intense, 15° ≤ 2θ ≤ 90°, sorted by position)
2θ/deg  intensity
24.29  27
28.05  100
28.36  48
40.22  56
40.38  37
49.77  30